Structure and computed PXRD pattern of Si6Ni21Mo2 (a cell relaxed with GGA-PBE; Cu Kα (λ = 1.5418 Å)).
No peak broadening, texture or thermal motion is included.

Structure:
```
data_Si6Ni21Mo2
_chemical_formula_sum 'Si24 Ni84 Mo8'
_cell_length_a 11.1296
_cell_length_b 11.1296
_cell_length_c 11.1296
_cell_angle_alpha 90.00
_cell_angle_beta 90.00
_cell_angle_gamma 90.00
_symmetry_space_group_name_H-M 'F m -3 m'
_symmetry_Int_Tables_number 225
_symmetry_space_group_name_Hall '-F 4 2 3'
loop_
_atom_site_label
_atom_site_fract_x
_atom_site_fract_y
_atom_site_fract_z
Si1 0.0000 0.0000 0.2349
Ni1 0.0000 0.0000 0.5000
Ni2 0.0000 0.1755 0.3245
Ni3 0.1222 0.1222 0.1222
Mo1 0.2500 0.2500 0.2500
```

Peak list (10 most intense, 2θ from 15° to 90°, low angle first)
2θ/deg, I (rel.), h k l
36.1, 22, 4 2 0
39.7, 32, 4 2 2
42.2, 100, 3 3 3
46.1, 44, 4 4 0
48.4, 30, 5 3 1
49.1, 11, 6 0 0
54.7, 19, 6 2 2
72.0, 24, 6 6 0
73.7, 12, 5 5 5
85.5, 24, 8 4 4

Structure and computed PXRD pattern of SrLaRu4 (a cell relaxed with GGA-PBE; Cu Kα (λ = 1.5418 Å)).
No peak broadening, texture or thermal motion is included.

Structure:
```
data_SrLaRu4
_chemical_formula_sum 'Sr4 La4 Ru16'
_cell_length_a 7.7456
_cell_length_b 7.7456
_cell_length_c 7.7456
_cell_angle_alpha 90.00
_cell_angle_beta 90.00
_cell_angle_gamma 90.00
_symmetry_space_group_name_H-M 'F -4 3 m'
_symmetry_Int_Tables_number 216
_symmetry_space_group_name_Hall 'F -4 2 3'
loop_
_atom_site_label
_atom_site_fract_x
_atom_site_fract_y
_atom_site_fract_z
Sr1 0.0000 0.0000 0.0000
La1 0.2500 0.2500 0.7500
Ru1 0.1249 0.1249 0.3751
```

Peak list (10 most intense, 2θ from 15° to 90°, low angle first)
2θ/deg, I (rel.), h k l
19.9, 5, 1 1 1
32.7, 30, 2 2 0
38.6, 100, 3 1 1
40.3, 38, 2 2 2
58.4, 11, 4 2 2
62.3, 32, 5 1 1
68.5, 27, 4 4 0
78.0, 5, 6 2 0
81.5, 11, 5 3 3
82.6, 13, 6 2 2

Structure and computed PXRD pattern of RuO2F6 (a cell relaxed with GGA-PBE; Cu Kα (λ = 1.5418 Å)).
No peak broadening, texture or thermal motion is included.

Structure:
```
data_RuO2F6
_chemical_formula_sum 'Ru8 O16 F48'
_cell_length_a 10.6334
_cell_length_b 10.6334
_cell_length_c 10.6334
_cell_angle_alpha 90.00
_cell_angle_beta 90.00
_cell_angle_gamma 90.00
_symmetry_space_group_name_H-M 'I a -3'
_symmetry_Int_Tables_number 206
_symmetry_space_group_name_Hall '-I 2b 2c 3'
loop_
_atom_site_label
_atom_site_fract_x
_atom_site_fract_y
_atom_site_fract_z
Ru1 0.2500 0.2500 0.2500
O1 0.0324 0.0324 0.0324
F1 0.1108 0.1571 0.3052
```

Peak list (10 most intense, 2θ from 15° to 90°, low angle first)
2θ/deg, I (rel.), h k l
16.7, 75, 2 0 0
23.7, 100, 2 2 0
29.1, 10, 2 2 2
41.6, 30, 4 2 2
48.4, 13, 4 4 0
51.6, 15, 4 4 2
54.6, 13, 6 0 2
57.5, 10, 6 2 2
63.0, 9, 6 0 4
65.7, 16, 6 2 4